The following is a simulated powder diffraction line list of DyErCO. It was derived from a crystal structure in Alexandria, relaxed with GGA-PBE, using Cu Kα, 1.54184 Å.
No peak broadening, texture or thermal motion is included.

Principal peaks in the range 2θ from 10° to 80°, sorted by position:
2θ/deg, intensity, hkl
28.49, 63.1, 0 1 1
29.47, 52.7, 1 0 1
30.02, 54.6, 0 0 4
35.72, 35.7, 0 1 3
36.53, 41.7, 1 0 3
42.89, 100.0, 1 1 2
47.34, 22.8, 0 1 5
62.34, 34.8, 0 0 8

```
data_DyErCO
_cell_length_a 3.1337
_cell_length_b 3.2472
_cell_length_c 11.9080
_cell_angle_alpha 90.00
_cell_angle_beta 90.00
_cell_angle_gamma 90.00
_symmetry_space_group_name_H-M 'I m m 2'
_symmetry_Int_Tables_number 44
loop_
_symmetry_equiv_pos_as_xyz
'x,y,z'
'-x,-y,z'
'-x,y,z'
'x,-y,z'
'x+1/2,y+1/2,z+1/2'
'-x+1/2,-y+1/2,z+1/2'
'-x+1/2,y+1/2,z+1/2'
'x+1/2,-y+1/2,z+1/2'
loop_
_atom_site_label
_atom_site_fract_x
_atom_site_fract_y
_atom_site_fract_z
Dy1 0.0000 0.0000 0.0000
Er1 0.0000 0.5000 0.2537
C1 0.0000 0.5000 0.8457
O1 0.0000 0.0000 0.5912
```

***

The following is a simulated powder diffraction line list of Dy2ErOsC2. It was derived from a crystal structure in Alexandria, relaxed with GGA-PBE, using Cu Kα, 1.54184 Å.
No peak broadening, texture or thermal motion is included.

Principal peaks in the range 2θ from 10° to 80°, sorted by position:
2θ/deg, intensity, hkl
32.20, 25.5, 2 0 0
32.62, 16.5, 0 4 0
33.38, 100.0, 1 2 1
46.50, 12.9, 2 4 0
49.34, 10.6, 0 0 2
58.17, 14.6, 3 2 1
60.15, 8.8, 2 0 2
70.12, 7.6, 2 4 2

```
data_Dy2ErOsC2
_cell_length_a 5.5598
_cell_length_b 10.9790
_cell_length_c 3.6940
_cell_angle_alpha 90.00
_cell_angle_beta 90.00
_cell_angle_gamma 90.00
_symmetry_space_group_name_H-M 'P n n m'
_symmetry_Int_Tables_number 58
loop_
_symmetry_equiv_pos_as_xyz
'x,y,z'
'-x,-y,-z'
'-x,-y,z'
'x,y,-z'
'x+1/2,-y+1/2,-z+1/2'
'-x+1/2,y+1/2,z+1/2'
'-x+1/2,y+1/2,-z+1/2'
'x+1/2,-y+1/2,z+1/2'
loop_
_atom_site_label
_atom_site_fract_x
_atom_site_fract_y
_atom_site_fract_z
Dy1 0.0497 0.2073 0.0000
Er1 0.0000 0.5000 0.5000
Os1 0.0000 0.0000 0.5000
C1 0.2255 0.6176 0.0000
```

***

The following is a simulated powder diffraction line list of DyEr3Sb2C. It was derived from a crystal structure in Alexandria, relaxed with GGA-PBE, using Cu Kα, 1.54184 Å.
No peak broadening, texture or thermal motion is included.

Principal peaks in the range 2θ from 10° to 80°, sorted by position:
2θ/deg, intensity, hkl
28.86, 70.4, 1 1 2
34.51, 28.4, 0 0 6
35.20, 100.0, 1 1 4
37.59, 29.4, 0 2 0
37.92, 28.7, 2 0 0
51.94, 18.5, 0 2 6
54.45, 21.5, 2 2 0
66.04, 36.5, 1 1 10

```
data_DyEr3Sb2C
_cell_length_a 4.7459
_cell_length_b 4.7861
_cell_length_c 15.5953
_cell_angle_alpha 90.00
_cell_angle_beta 90.00
_cell_angle_gamma 90.00
_symmetry_space_group_name_H-M 'I m m m'
_symmetry_Int_Tables_number 71
_symmetry_space_group_name_Hall '-I 2 2'
loop_
_atom_site_label
_atom_site_fract_x
_atom_site_fract_y
_atom_site_fract_z
Dy1 0.0000 0.0000 0.0000
Er1 0.0000 0.0000 0.5000
Er2 0.0000 0.5000 0.1563
Sb1 0.0000 0.5000 0.3570
C1 0.0000 0.5000 0.0000
```

***

The following is a simulated powder diffraction line list of Dy3ErSn2C. It was derived from a crystal structure in Alexandria, relaxed with GGA-PBE, using Cu Kα, 1.54184 Å.
No peak broadening, texture or thermal motion is included.

Principal peaks in the range 2θ from 10° to 80°, sorted by position:
2θ/deg, intensity, hkl
28.70, 71.3, 1 1 2
33.75, 32.0, 0 0 6
34.82, 100.0, 1 1 4
37.53, 29.3, 0 2 0
37.79, 28.7, 2 0 0
51.35, 19.4, 0 2 6
51.56, 19.4, 2 0 6
54.32, 20.3, 2 2 0

```
data_Dy3ErSn2C
_cell_length_a 4.7606
_cell_length_b 4.7935
_cell_length_c 15.9379
_cell_angle_alpha 90.00
_cell_angle_beta 90.00
_cell_angle_gamma 90.00
_symmetry_space_group_name_H-M 'I m m m'
_symmetry_Int_Tables_number 71
_symmetry_space_group_name_Hall '-I 2 2'
loop_
_atom_site_label
_atom_site_fract_x
_atom_site_fract_y
_atom_site_fract_z
Dy1 0.0000 0.0000 0.0000
Dy2 0.0000 0.5000 0.1591
Er1 0.0000 0.0000 0.5000
Sn1 0.0000 0.5000 0.3599
C1 0.0000 0.5000 0.0000
```

***

The following is a simulated powder diffraction line list of Dy2Fe17C. It was derived from a crystal structure in Alexandria, relaxed with GGA-PBE, using Cu Kα, 1.54184 Å.
No peak broadening, texture or thermal motion is included.

Principal peaks in the range 2θ from 10° to 80°, sorted by position:
2θ/deg, intensity, hkl
30.08, 44.0, 2 2 -1
36.25, 41.7, 1 3 1
37.92, 45.5, 2 2 -2
42.00, 35.7, 0 4 0
42.29, 66.9, 2 2 2
42.58, 100.0, 3 3 0
42.80, 52.8, 4 0 1
44.01, 63.2, 4 0 -2

```
data_Dy2Fe17C
_cell_length_a 9.6005
_cell_length_b 8.6041
_cell_length_c 6.4100
_cell_angle_alpha 90.00
_cell_angle_beta 98.94
_cell_angle_gamma 90.00
_symmetry_space_group_name_H-M 'C 1 2/m 1'
_symmetry_Int_Tables_number 12
loop_
_symmetry_equiv_pos_as_xyz
'x,y,z'
'-x,-y,-z'
'-x,y,-z'
'x,-y,z'
'x+1/2,y+1/2,z'
'-x+1/2,-y+1/2,-z'
'-x+1/2,y+1/2,-z'
'x+1/2,-y+1/2,z'
loop_
_atom_site_label
_atom_site_fract_x
_atom_site_fract_y
_atom_site_fract_z
Dy1 0.1608 0.0000 0.3489
Fe1 0.0000 0.2144 0.0000
Fe2 0.0000 0.5000 0.5000
Fe3 0.0969 0.2531 0.6547
Fe4 0.0969 0.5000 0.9024
Fe5 0.1450 0.3546 0.2912
Fe6 0.1566 0.0000 0.8490
Fe7 0.2500 0.2500 0.0000
C1 0.0000 0.0000 0.0000
```

***

The following is a simulated powder diffraction line list of Dy2Fe17C2. It was derived from a crystal structure in Alexandria, relaxed with GGA-PBE, using Cu Kα, 1.54184 Å.
No peak broadening, texture or thermal motion is included.

Principal peaks in the range 2θ from 10° to 80°, sorted by position:
2θ/deg, intensity, hkl
29.96, 60.9, 1 1 -2
36.23, 57.5, 1 3 1
37.76, 63.9, 4 0 0
41.92, 98.9, 2 2 2
42.16, 48.4, 0 4 0
42.46, 100.0, 1 3 -2
42.55, 69.3, 3 3 0
43.81, 77.9, 4 0 -2

```
data_Dy2Fe17C2
_cell_length_a 9.6398
_cell_length_b 8.5740
_cell_length_c 6.4849
_cell_angle_alpha 90.00
_cell_angle_beta 98.59
_cell_angle_gamma 90.00
_symmetry_space_group_name_H-M 'C 1 2/m 1'
_symmetry_Int_Tables_number 12
loop_
_symmetry_equiv_pos_as_xyz
'x,y,z'
'-x,-y,-z'
'-x,y,-z'
'x,-y,z'
'x+1/2,y+1/2,z'
'-x+1/2,-y+1/2,-z'
'-x+1/2,y+1/2,-z'
'x+1/2,-y+1/2,z'
loop_
_atom_site_label
_atom_site_fract_x
_atom_site_fract_y
_atom_site_fract_z
Dy1 0.1535 0.0000 0.3361
Fe1 0.0000 0.2140 0.0000
Fe2 0.0000 0.5000 0.5000
Fe3 0.0967 0.5000 0.9040
Fe4 0.0983 0.2540 0.6584
Fe5 0.1433 0.3581 0.2848
Fe6 0.1544 0.0000 0.8549
Fe7 0.2500 0.2500 0.0000
C1 0.2500 0.2500 0.5000
```

***

The following is a simulated powder diffraction line list of Dy2Ga3Fe14C2. It was derived from a crystal structure in Alexandria, relaxed with GGA-PBE, using Cu Kα, 1.54184 Å.
No peak broadening, texture or thermal motion is included.

Principal peaks in the range 2θ from 10° to 80°, sorted by position:
2θ/deg, intensity, hkl
29.75, 44.8, 1 1 -2
36.27, 37.8, 1 3 1
41.79, 72.4, 2 2 2
42.06, 45.1, 0 0 3
42.29, 32.6, 0 4 0
42.44, 100.0, 1 3 -2
43.37, 65.0, 4 0 -2
76.99, 27.1, 2 6 2

```
data_Dy2Ga3Fe14C2
_cell_length_a 9.7421
_cell_length_b 8.5478
_cell_length_c 6.5171
_cell_angle_alpha 90.00
_cell_angle_beta 98.78
_cell_angle_gamma 90.00
_symmetry_space_group_name_H-M 'C 1 2/m 1'
_symmetry_Int_Tables_number 12
loop_
_symmetry_equiv_pos_as_xyz
'x,y,z'
'-x,-y,-z'
'-x,y,-z'
'x,-y,z'
'x+1/2,y+1/2,z'
'-x+1/2,-y+1/2,-z'
'-x+1/2,y+1/2,-z'
'x+1/2,-y+1/2,z'
loop_
_atom_site_label
_atom_site_fract_x
_atom_site_fract_y
_atom_site_fract_z
Dy1 0.1521 0.0000 0.3385
Ga1 0.0000 0.5000 0.5000
Ga2 0.2500 0.2500 0.0000
Fe1 0.0000 0.2028 0.0000
Fe2 0.0914 0.5000 0.9047
Fe3 0.0989 0.2496 0.6543
Fe4 0.1415 0.3560 0.2849
Fe5 0.1550 0.0000 0.8451
C1 0.2500 0.2500 0.5000
```

***

The following is a simulated powder diffraction line list of DyMnFeC. It was derived from a crystal structure in Alexandria, relaxed with GGA-PBE, using Cu Kα, 1.54184 Å.
No peak broadening, texture or thermal motion is included.

Principal peaks in the range 2θ from 10° to 80°, sorted by position:
2θ/deg, intensity, hkl
28.05, 93.5, 1 0 1
35.86, 37.2, 0 0 4
38.02, 54.0, 1 0 3
42.16, 100.0, 1 1 2
54.73, 24.4, 2 0 0
62.62, 20.2, 2 1 1
67.18, 22.8, 2 0 4
68.76, 23.0, 1 1 6

```
data_DyMnFeC
_cell_length_a 3.3541
_cell_length_b 3.3541
_cell_length_c 10.0171
_cell_angle_alpha 90.00
_cell_angle_beta 90.00
_cell_angle_gamma 90.00
_symmetry_space_group_name_H-M 'P 4/n m m'
_symmetry_Int_Tables_number 129
loop_
_symmetry_equiv_pos_as_xyz
'x,y,z'
'-x,-y,-z'
'-y+1/2,x,z'
'y+1/2,-x,-z'
'-x+1/2,-y+1/2,z'
'x+1/2,y+1/2,-z'
'y,-x+1/2,z'
'-y,x+1/2,-z'
'x+1/2,-y,-z'
'-x+1/2,y,z'
'-y,-x,-z'
'y,x,z'
'-x,y+1/2,-z'
'x,-y+1/2,z'
'y+1/2,x+1/2,-z'
'-y+1/2,-x+1/2,z'
loop_
_atom_site_label
_atom_site_fract_x
_atom_site_fract_y
_atom_site_fract_z
Dy1 0.2500 0.2500 0.2491
Mn1 0.2500 0.7500 0.5000
Fe1 0.2500 0.7500 0.0000
C1 0.2500 0.2500 0.6131
```

***

The following is a simulated powder diffraction line list of DyTh2FeC2. It was derived from a crystal structure in Alexandria, relaxed with GGA-PBE, using Cu Kα, 1.54184 Å.
No peak broadening, texture or thermal motion is included.

Principal peaks in the range 2θ from 10° to 80°, sorted by position:
2θ/deg, intensity, hkl
25.21, 11.9, 0 1 1
28.76, 37.5, 1 3 0
31.23, 31.5, 2 0 0
32.31, 14.3, 0 4 0
32.91, 100.0, 1 2 1
47.74, 16.3, 0 5 1
56.66, 18.7, 3 2 1
58.16, 14.9, 2 5 1

```
data_DyTh2FeC2
_cell_length_a 5.7275
_cell_length_b 11.0827
_cell_length_c 3.7275
_cell_angle_alpha 90.00
_cell_angle_beta 90.00
_cell_angle_gamma 90.00
_symmetry_space_group_name_H-M 'P n n m'
_symmetry_Int_Tables_number 58
loop_
_symmetry_equiv_pos_as_xyz
'x,y,z'
'-x,-y,-z'
'-x,-y,z'
'x,y,-z'
'x+1/2,-y+1/2,-z+1/2'
'-x+1/2,y+1/2,z+1/2'
'-x+1/2,y+1/2,-z+1/2'
'x+1/2,-y+1/2,z+1/2'
loop_
_atom_site_label
_atom_site_fract_x
_atom_site_fract_y
_atom_site_fract_z
Dy1 0.0000 0.0000 0.0000
Th1 0.0268 0.2952 0.5000
Fe1 0.0000 0.5000 0.0000
C1 0.2387 0.8908 0.5000
```

***

The following is a simulated powder diffraction line list of DyTiFe11C. It was derived from a crystal structure in Alexandria, relaxed with GGA-PBE, using Cu Kα, 1.54184 Å.
No peak broadening, texture or thermal motion is included.

Principal peaks in the range 2θ from 10° to 80°, sorted by position:
2θ/deg, intensity, hkl
29.82, 41.9, 1 2 1
36.57, 26.9, 1 3 0
36.78, 24.9, 1 0 3
42.28, 34.8, 0 4 0
42.55, 100.0, 0 0 4
42.62, 53.8, 1 2 3
42.92, 91.4, 2 0 2
48.18, 26.6, 2 2 2

```
data_DyTiFe11C
_cell_length_a 4.8494
_cell_length_b 8.5498
_cell_length_c 8.4869
_cell_angle_alpha 90.00
_cell_angle_beta 90.00
_cell_angle_gamma 90.00
_symmetry_space_group_name_H-M 'I m m 2'
_symmetry_Int_Tables_number 44
loop_
_symmetry_equiv_pos_as_xyz
'x,y,z'
'-x,-y,z'
'-x,y,z'
'x,-y,z'
'x+1/2,y+1/2,z+1/2'
'-x+1/2,-y+1/2,z+1/2'
'-x+1/2,y+1/2,z+1/2'
'x+1/2,-y+1/2,z+1/2'
loop_
_atom_site_label
_atom_site_fract_x
_atom_site_fract_y
_atom_site_fract_z
Dy1 0.0000 0.0000 0.0000
Ti1 0.0000 0.0000 0.3741
Fe1 0.0000 0.0000 0.6510
Fe2 0.0000 0.2800 0.5098
Fe3 0.0000 0.3584 0.0076
Fe4 0.0000 0.5000 0.2827
Fe5 0.0000 0.5000 0.7303
Fe6 0.2495 0.2486 0.7569
C1 0.0000 0.5000 0.5060
```

***

The following is a simulated powder diffraction line list of Dy6Ge2C. It was derived from a crystal structure in Alexandria, relaxed with GGA-PBE, using Cu Kα, 1.54184 Å.
No peak broadening, texture or thermal motion is included.

Principal peaks in the range 2θ from 10° to 80°, sorted by position:
2θ/deg, intensity, hkl
19.53, 14.0, 1 1 0
27.75, 32.4, 2 0 0
29.38, 100.0, 1 1 3
31.10, 34.8, 2 1 0
38.27, 20.5, 2 1 3
39.65, 21.1, 2 2 0
47.92, 28.3, 3 0 3
50.11, 17.9, 3 1 3

```
data_Dy6Ge2C
_cell_length_a 6.4294
_cell_length_b 6.4294
_cell_length_c 12.2663
_cell_angle_alpha 90.00
_cell_angle_beta 90.00
_cell_angle_gamma 90.00
_symmetry_space_group_name_H-M 'P 42/m n m'
_symmetry_Int_Tables_number 136
_symmetry_space_group_name_Hall '-P 4n 2n'
loop_
_atom_site_label
_atom_site_fract_x
_atom_site_fract_y
_atom_site_fract_z
Dy1 0.1909 0.1909 0.1432
Dy2 0.2209 0.2209 0.5000
Ge1 0.0000 0.0000 0.3285
C1 0.0000 0.0000 0.0000
```

***

The following is a simulated powder diffraction line list of La3DyGe2C. It was derived from a crystal structure in Alexandria, relaxed with GGA-PBE, using Cu Kα, 1.54184 Å.
No peak broadening, texture or thermal motion is included.

Principal peaks in the range 2θ from 10° to 80°, sorted by position:
2θ/deg, intensity, hkl
10.99, 23.2, 0 0 2
28.09, 100.0, 1 1 2
33.39, 39.0, 0 0 6
34.19, 90.5, 1 1 4
36.31, 33.8, 0 2 0
37.23, 31.5, 2 0 0
50.15, 24.5, 0 2 6
52.98, 22.6, 2 2 0

```
data_La3DyGe2C
_cell_length_a 4.8303
_cell_length_b 4.9486
_cell_length_c 16.1042
_cell_angle_alpha 90.00
_cell_angle_beta 90.00
_cell_angle_gamma 90.00
_symmetry_space_group_name_H-M 'I m m m'
_symmetry_Int_Tables_number 71
_symmetry_space_group_name_Hall '-I 2 2'
loop_
_atom_site_label
_atom_site_fract_x
_atom_site_fract_y
_atom_site_fract_z
La1 0.0000 0.0000 0.0000
La2 0.0000 0.5000 0.1696
Dy1 0.0000 0.0000 0.5000
Ge1 0.0000 0.5000 0.3655
C1 0.0000 0.5000 0.0000
```

***

The following is a simulated powder diffraction line list of Dy4GeSbC. It was derived from a crystal structure in Alexandria, relaxed with GGA-PBE, using Cu Kα, 1.54184 Å.
No peak broadening, texture or thermal motion is included.

Principal peaks in the range 2θ from 10° to 80°, sorted by position:
2θ/deg, intensity, hkl
28.98, 88.1, 2 2 0
34.92, 31.5, 0 6 0
35.43, 100.0, 2 4 0
37.86, 64.7, 2 0 2
52.44, 39.5, 2 6 2
54.61, 22.5, 4 0 0
63.01, 19.9, 4 2 2
66.78, 48.1, 2 10 0

```
data_Dy4GeSbC
_cell_length_a 6.7184
_cell_length_b 15.4178
_cell_length_c 6.7260
_cell_angle_alpha 90.00
_cell_angle_beta 90.00
_cell_angle_gamma 90.00
_symmetry_space_group_name_H-M 'C m c m'
_symmetry_Int_Tables_number 63
_symmetry_space_group_name_Hall '-C 2c 2'
loop_
_atom_site_label
_atom_site_fract_x
_atom_site_fract_y
_atom_site_fract_z
Dy1 0.0000 0.0835 0.2500
Dy2 0.0000 0.4077 0.2500
Dy3 0.2500 0.2500 0.0000
Ge1 0.0000 0.1136 0.7500
Sb1 0.0000 0.3930 0.7500
C1 0.0000 0.2463 0.2500
```